1.
This entry pairs a crystal structure of LiBiP2O7 with its computed X-ray diffraction stick pattern. Radiation: Cu Kα (λ = 1.5418 Å). Structure: a crystal structure in the Materials Project, relaxed with GGA-PBE.
Neutral-atom scattering factors, no anomalous dispersion.

Cell and atoms:
```
data_LiBiP2O7
_chemical_formula_sum 'Li2 Bi2 P4 O14'
_cell_length_a 5.038
_cell_length_b 9.076
_cell_length_c 7.455
_cell_angle_alpha 90.00
_cell_angle_beta 107.31
_cell_angle_gamma 90.00
_space_group_name_H-M_alt 'P 1 21 1'
_space_group_IT_number 4
loop_
_space_group_symop_operation_xyz
'x,y,z'
'-x,y+1/2,-z'
loop_
_atom_site_label
_atom_site_fract_x
_atom_site_fract_y
_atom_site_fract_z
_atom_site_occupancy
Li1 0.200 0.000 0.151 1
Bi1 0.197 0.346 0.229 1
P1 0.214 0.049 0.577 1
P2 0.412 0.670 0.061 1
O1 0.067 0.542 0.385 1
O2 0.197 0.106 0.381 1
O3 0.223 0.531 0.022 1
O4 0.243 0.812 0.036 1
O5 0.361 0.898 0.619 1
O6 0.384 0.165 0.057 1
O7 0.408 0.171 0.719 1
```

Top 10 peaks for 2θ from 5° to 70°, most intense first:
| h k l | two_theta | I (rel.) |
| --- | --- | --- |
| 0 1 1 | 15.82 | 100 |
| 1 2 -1 | 27.36 | 35 |
| 1 1 0 | 20.90 | 33 |
| 1 1 -2 | 28.16 | 31 |
| 0 3 1 | 32.15 | 25 |
| 0 2 2 | 31.96 | 21 |
| 1 0 1 | 25.24 | 21 |
| 1 0 -1 | 18.95 | 18 |
| 1 0 -3 | 36.95 | 15 |
| 1 3 -2 | 39.98 | 12 |



2.
This entry pairs a crystal structure of LiBiP2O7 with its computed X-ray diffraction stick pattern. Radiation: Cu Kα (λ = 1.5418 Å). Structure: a crystal structure in the Materials Project, relaxed with GGA-PBE.
Neutral-atom scattering factors, no anomalous dispersion.

Cell and atoms:
```
data_LiBiP2O7
_chemical_formula_sum 'Li4 Bi4 P8 O28'
_cell_length_a 7.461
_cell_length_b 10.888
_cell_length_c 8.669
_cell_angle_alpha 90.00
_cell_angle_beta 115.76
_cell_angle_gamma 90.00
_space_group_name_H-M_alt 'P 1 21/c 1'
_space_group_IT_number 14
loop_
_space_group_symop_operation_xyz
'x,y,z'
'-x,-y,-z'
'-x,y+1/2,-z+1/2'
'x,-y+1/2,z+1/2'
loop_
_atom_site_label
_atom_site_fract_x
_atom_site_fract_y
_atom_site_fract_z
_atom_site_occupancy
Li1 0.156 0.159 0.091 1
Bi1 0.215 0.603 0.231 1
P1 0.131 0.593 0.778 1
P2 0.474 0.658 0.715 1
O1 0.025 0.698 0.651 1
O2 0.064 0.036 0.200 1
O3 0.103 0.605 0.942 1
O4 0.327 0.090 0.720 1
O5 0.334 0.635 0.530 1
O6 0.367 0.605 0.832 1
O7 0.485 0.204 0.234 1
```

Top 10 peaks for 2θ from 5° to 70°, most intense first:
| h k l | two_theta | I (rel.) |
| --- | --- | --- |
| 1 1 0 | 15.48 | 100 |
| 0 0 2 | 22.78 | 42 |
| 1 3 0 | 27.94 | 32 |
| 2 2 -1 | 29.02 | 29 |
| 1 1 -2 | 22.37 | 27 |
| 0 2 1 | 19.88 | 15 |
| 3 1 -1 | 37.56 | 14 |
| 2 0 -2 | 26.48 | 14 |
| 0 4 0 | 32.90 | 13 |
| 1 3 -2 | 32.35 | 12 |



3.
This entry pairs a crystal structure of LiBiP4O12 with its computed X-ray diffraction stick pattern. Radiation: Cu Kα (λ = 1.5418 Å). Structure: a crystal structure in the Materials Project, relaxed with GGA-PBE.
Neutral-atom scattering factors, no anomalous dispersion.

Cell and atoms:
```
data_LiBiP4O12
_chemical_formula_sum 'Li4 Bi4 P16 O48'
_cell_length_a 8.074
_cell_length_b 12.198
_cell_length_c 10.581
_cell_angle_alpha 90.00
_cell_angle_beta 111.68
_cell_angle_gamma 90.00
_space_group_name_H-M_alt 'C 1 2/c 1'
_space_group_IT_number 15
loop_
_space_group_symop_operation_xyz
'x,y,z'
'-x,-y,-z'
'-x,y,-z+1/2'
'x,-y,z+1/2'
'x+1/2,y+1/2,z'
'-x+1/2,-y+1/2,-z'
'-x+1/2,y+1/2,-z+1/2'
'x+1/2,-y+1/2,z+1/2'
loop_
_atom_site_label
_atom_site_fract_x
_atom_site_fract_y
_atom_site_fract_z
_atom_site_occupancy
Li1 0.000 0.136 0.250 1
Bi1 0.000 0.127 0.750 1
P1 0.053 0.326 0.010 1
P2 0.223 0.466 0.451 1
O1 0.053 0.246 0.597 1
O2 0.081 0.367 0.417 1
O3 0.089 0.432 0.936 1
O4 0.148 0.043 0.403 1
O5 0.211 0.027 0.663 1
O6 0.217 0.286 0.124 1
```

Top 10 peaks for 2θ from 5° to 70°, most intense first:
| h k l | two_theta | I (rel.) |
| --- | --- | --- |
| 0 2 1 | 17.11 | 100 |
| 1 1 -1 | 13.93 | 88 |
| 1 3 -2 | 28.15 | 52 |
| 1 1 2 | 26.11 | 48 |
| 1 1 -2 | 19.00 | 36 |
| 1 1 1 | 18.79 | 28 |
| 1 3 1 | 27.99 | 28 |
| 2 4 0 | 38.03 | 24 |
| 2 2 1 | 32.06 | 21 |
| 2 2 -3 | 32.40 | 21 |



4.
This entry pairs a crystal structure of Li3BiP2O8 with its computed X-ray diffraction stick pattern. Radiation: Cu Kα (λ = 1.5418 Å). Structure: a crystal structure in the Materials Project, relaxed with GGA-PBE.
Neutral-atom scattering factors, no anomalous dispersion.

Cell and atoms:
```
data_Li3BiP2O8
_chemical_formula_sum 'Li12 Bi4 P8 O32'
_cell_length_a 9.066
_cell_length_b 9.096
_cell_length_c 9.221
_cell_angle_alpha 88.97
_cell_angle_beta 89.68
_cell_angle_gamma 67.54
_space_group_name_H-M_alt 'P 1'
_space_group_IT_number 1
loop_
_space_group_symop_operation_xyz
'x,y,z'
loop_
_atom_site_label
_atom_site_fract_x
_atom_site_fract_y
_atom_site_fract_z
_atom_site_occupancy
Li1 0.000 0.000 0.000 1
Li2 0.004 0.539 0.553 1
Li3 0.025 0.629 0.864 1
Li4 0.071 0.061 0.743 1
Li5 0.223 0.318 0.000 1
Li6 0.233 0.859 0.536 1
Li7 0.253 0.888 0.217 1
Li8 0.499 0.535 0.006 1
Li9 0.520 0.074 0.491 1
Li10 0.690 0.822 0.080 1
Li11 0.708 0.346 0.526 1
Li12 0.973 0.005 0.340 1
Bi1 0.365 0.436 0.336 1
Bi2 0.604 0.724 0.668 1
Bi3 0.619 0.172 0.881 1
Bi4 0.877 0.444 0.180 1
P1 0.079 0.678 0.176 1
P2 0.154 0.213 0.356 1
P3 0.351 0.514 0.696 1
P4 0.369 0.979 0.861 1
P5 0.550 0.701 0.350 1
P6 0.682 0.180 0.205 1
P7 0.864 0.384 0.851 1
P8 0.864 0.910 0.678 1
O1 0.014 0.407 0.912 1
O2 0.062 0.853 0.178 1
O3 0.092 0.606 0.336 1
O4 0.147 0.265 0.191 1
O5 0.168 0.038 0.370 1
O6 0.176 0.534 0.698 1
O7 0.210 0.980 0.921 1
O8 0.229 0.570 0.091 1
O9 0.306 0.227 0.423 1
O10 0.363 0.679 0.675 1
O11 0.368 0.978 0.691 1
O12 0.375 0.708 0.342 1
O13 0.388 0.136 0.912 1
O14 0.442 0.433 0.839 1
O15 0.449 0.402 0.572 1
O16 0.521 0.835 0.914 1
O17 0.549 0.850 0.431 1
O18 0.555 0.326 0.120 1
O19 0.619 0.683 0.195 1
O20 0.634 0.198 0.367 1
O21 0.654 0.554 0.443 1
O22 0.680 0.030 0.131 1
O23 0.691 0.046 0.655 1
O24 0.728 0.473 0.962 1
O25 0.814 0.456 0.697 1
O26 0.852 0.184 0.189 1
O27 0.854 0.752 0.624 1
O28 0.890 0.205 0.849 1
O29 0.895 0.894 0.846 1
O30 0.927 0.670 0.102 1
O31 0.993 0.951 0.595 1
O32 0.999 0.331 0.427 1
```

Top 10 peaks for 2θ from 5° to 70°, most intense first:
| h k l | two_theta | I (rel.) |
| --- | --- | --- |
| 1 0 0 | 10.54 | 100 |
| 0 1 -1 | 14.38 | 94 |
| 2 2 0 | 23.57 | 75 |
| 1 0 -1 | 14.27 | 72 |
| 0 1 2 | 21.82 | 48 |
| 2 1 1 | 21.98 | 44 |
| 1 -1 1 | 20.15 | 36 |
| 1 0 3 | 30.98 | 32 |
| 1 3 3 | 41.45 | 29 |
| 2 3 -1 | 32.57 | 29 |



5.
This entry pairs a crystal structure of LiBiP2O7 with its computed X-ray diffraction stick pattern. Radiation: Cu Kα (λ = 1.5418 Å). Structure: a crystal structure in the Materials Project, relaxed with GGA-PBE.
Neutral-atom scattering factors, no anomalous dispersion.

Cell and atoms:
```
data_LiBiP2O7
_chemical_formula_sum 'Li4 Bi4 P8 O28'
_cell_length_a 7.466
_cell_length_b 7.943
_cell_length_c 10.100
_cell_angle_alpha 90.00
_cell_angle_beta 111.19
_cell_angle_gamma 90.00
_space_group_name_H-M_alt 'P 1 21/c 1'
_space_group_IT_number 14
loop_
_space_group_symop_operation_xyz
'x,y,z'
'-x,-y,-z'
'-x,y+1/2,-z+1/2'
'x,-y+1/2,z+1/2'
loop_
_atom_site_label
_atom_site_fract_x
_atom_site_fract_y
_atom_site_fract_z
_atom_site_occupancy
Li1 0.245 0.007 0.255 1
Bi1 0.285 0.028 0.771 1
P1 0.087 0.243 0.960 1
P2 0.331 0.722 0.040 1
O1 0.054 0.068 0.891 1
O2 0.130 0.678 0.067 1
O3 0.174 0.136 0.387 1
O4 0.187 0.241 0.124 1
O5 0.296 0.728 0.883 1
O6 0.400 0.604 0.611 1
O7 0.452 0.579 0.132 1
```

Top 10 peaks for 2θ from 5° to 70°, most intense first:
| h k l | two_theta | I (rel.) |
| --- | --- | --- |
| 1 1 -1 | 16.99 | 100 |
| 1 1 1 | 21.55 | 62 |
| 0 2 2 | 29.42 | 52 |
| 1 1 -3 | 28.92 | 29 |
| 2 0 0 | 25.59 | 23 |
| 2 0 2 | 37.22 | 21 |
| 1 3 1 | 38.81 | 21 |
| 2 0 -2 | 25.77 | 20 |
| 1 3 -1 | 36.32 | 20 |
| 2 2 -2 | 34.38 | 18 |



6.
This entry pairs a crystal structure of LiBiP4O12 with its computed X-ray diffraction stick pattern. Radiation: Cu Kα (λ = 1.5418 Å). Structure: a crystal structure in the Materials Project, relaxed with GGA-PBE.
Neutral-atom scattering factors, no anomalous dispersion.

Cell and atoms:
```
data_LiBiP4O12
_chemical_formula_sum 'Li4 Bi4 P16 O48'
_cell_length_a 16.747
_cell_length_b 7.238
_cell_length_c 10.026
_cell_angle_alpha 90.00
_cell_angle_beta 126.45
_cell_angle_gamma 90.00
_space_group_name_H-M_alt 'C 1 2/c 1'
_space_group_IT_number 15
loop_
_space_group_symop_operation_xyz
'x,y,z'
'-x,-y,-z'
'-x,y,-z+1/2'
'x,-y,z+1/2'
'x+1/2,y+1/2,z'
'-x+1/2,-y+1/2,-z'
'-x+1/2,y+1/2,-z+1/2'
'x+1/2,-y+1/2,z+1/2'
loop_
_atom_site_label
_atom_site_fract_x
_atom_site_fract_y
_atom_site_fract_z
_atom_site_occupancy
Li1 0.000 0.000 0.000 1
Bi1 0.000 0.245 0.250 1
P1 0.137 0.448 0.662 1
P2 0.150 0.163 0.094 1
O1 0.066 0.497 0.201 1
O2 0.077 0.087 0.924 1
O3 0.110 0.285 0.548 1
O4 0.124 0.119 0.213 1
O5 0.163 0.384 0.088 1
O6 0.241 0.408 0.838 1
```

Top 10 peaks for 2θ from 5° to 70°, most intense first:
| h k l | two_theta | I (rel.) |
| --- | --- | --- |
| 1 1 1 | 20.06 | 100 |
| 1 1 -1 | 15.10 | 53 |
| 2 0 0 | 13.15 | 39 |
| 4 0 -2 | 22.17 | 32 |
| 5 1 -1 | 30.62 | 29 |
| 3 1 -3 | 29.43 | 26 |
| 4 2 -2 | 33.33 | 24 |
| 2 0 2 | 31.93 | 20 |
| 3 3 -1 | 40.73 | 19 |
| 0 0 2 | 22.05 | 18 |